The following is a simulated powder diffractogram of Au5Se. It was derived from a cell relaxed with GGA-PBE, using λ = 1.5418 Å (Cu Kα).

```
Au5Se
1.0
2.896 0.000 0.000
0.000 2.896 0.000
0.000 0.000 13.425
Au Se
5 1
Cartesian
0.000 0.000 0.000 Au
0.000 0.000 4.301 Au
0.000 0.000 9.125 Au
1.448 1.448 2.144 Au
1.448 1.448 11.281 Au
1.448 1.448 6.713 Se
```

Largest 6 diffraction maxima, by angle, 2θ from 10° to 90°:
d [Å]	two_theta	intensity
2.431	36.97	100
2.238	40.31	18
2.048	44.23	31
1.511	61.37	21
1.326	71.09	12
1.244	76.59	25

The following is a simulated powder diffractogram of Au5Se. It was derived from a cell relaxed with GGA-PBE, using λ = 1.5418 Å (Cu Kα).

```
Au5Se
1.0
4.969 0.000 0.000
0.000 2.951 0.000
0.000 0.000 15.256
Au Se
10 2
Cartesian
0.000 0.000 0.000 Au
0.000 0.000 5.033 Au
0.000 0.000 10.150 Au
0.000 1.475 2.522 Au
0.000 1.475 7.628 Au
0.000 1.475 12.662 Au
2.485 0.000 3.356 Au
2.485 0.000 8.485 Au
2.485 1.475 0.857 Au
2.485 1.475 10.984 Au
2.485 0.000 13.616 Se
2.485 1.475 5.988 Se
```

Largest 6 diffraction maxima, by angle, 2θ from 10° to 90°:
d [Å]	two_theta	intensity
2.552	35.16	25
2.485	36.15	44
2.270	39.70	100
2.264	39.82	52
1.389	67.40	22
1.265	75.09	21

The following is a simulated powder diffractogram of AuSe2. It was derived from a cell relaxed with GGA-PBE, using λ = 1.5418 Å (Cu Kα).

```
AuSe2
1.0
5.318 0.000 0.000
0.000 6.512 0.000
0.000 0.000 4.159
Au Se
2 4
Cartesian
0.000 0.000 0.000 Au
2.659 3.256 2.079 Au
0.964 2.571 0.000 Se
1.695 5.827 2.079 Se
3.623 0.685 2.079 Se
4.354 3.941 0.000 Se
```

Largest 6 diffraction maxima, by angle, 2θ from 10° to 90°:
d [Å]	two_theta	intensity
4.119	21.57	51
3.276	27.22	100
3.256	27.39	39
2.309	39.00	51
2.118	42.68	68
2.079	43.52	26

The following is a simulated powder diffractogram of Sm6TeAu2Se3. It was derived from a cell relaxed with GGA-PBE, using λ = 1.5418 Å (Cu Kα).

```
Sm6TeAu2Se3
1.0
9.404 -2.088 0.000
9.404 2.088 0.000
-2.393 0.000 8.369
Sm Te Au Se
6 1 2 3
Cartesian
-0.582 0.000 2.233 Sm
3.989 0.000 7.563 Sm
5.359 0.000 3.407 Sm
11.057 0.000 4.962 Sm
12.428 0.000 0.806 Sm
16.998 0.000 6.135 Sm
9.404 0.000 0.000 Te
2.406 0.000 2.912 Au
14.011 0.000 5.457 Au
1.030 0.000 7.042 Se
8.208 0.000 4.184 Se
15.386 0.000 1.327 Se
```

Largest 6 diffraction maxima, by angle, 2θ from 10° to 90°:
d [Å]	two_theta	intensity
3.012	29.66	100
2.174	41.54	13
2.165	41.73	26
2.098	43.12	23
2.088	43.34	13
1.716	53.38	13